Computed PXRD pattern
Compound: Sm3BWO9
Radiation: CuKα
Structure: a structure optimized by DFT (PBE+U)
Intensities are scaled so that the largest is 100.

Most intense lines, 5° ≤ 2θ ≤ 70°, by angle:
| (hkl) | 2θ (°) | d/Å | I_rel |
| --- | --- | --- | --- |
| 1 1 1 | 26.05 | 3.420 | 93 |
| 2 0 1 | 28.65 | 3.115 | 100 |
| 2 1 1 | 35.42 | 2.534 | 26 |
| 1 2 2 | 45.75 | 1.983 | 26 |
| 3 0 2 | 48.99 | 1.859 | 30 |
| 3 2 1 | 55.61 | 1.653 | 52 |

Cell and atoms:
```
data_Sm3BWO9
_symmetry_space_group_name_H-M 'P 63'
_symmetry_Int_Tables_number 173
_symmetry_space_group_name_Hall 'P 6c'
_cell_length_a 8.7169
_cell_length_b 8.7169
_cell_length_c 5.5180
_cell_angle_alpha 90.00
_cell_angle_beta 90.00
_cell_angle_gamma 120.00
loop_
_atom_site_label
_atom_site_fract_x
_atom_site_fract_y
_atom_site_fract_z
Sm1 0.0797 0.7240 0.0000
B1 0.0000 0.0000 0.1674
W1 0.3333 0.6667 0.5439
O1 0.0515 0.8737 0.6587
O2 0.1334 0.5187 0.7702
O3 0.2052 0.4644 0.3387
```